Theoretical X-ray diffraction stick pattern of Cd5Co3 for Cu Kα (weighted mean of Kα1 and Kα2), from the PBE geometry in Alexandria.
No peak broadening, texture or thermal motion is included.

Unit cell a=5.719 b=7.127 c=7.233 alpha=75.28 beta=78.78 gamma=80.16
Space group P-1 (No. 2)
Symmetry-distinct sites (fractional):
1 Cd 0.044 0.321 0.369
2 Cd 0.236 0.252 0.748
3 Cd 0.249 0.541 0.965
4 Cd 0.260 0.749 0.261
5 Cd 0.453 0.130 0.154
6 Co 0.029 0.914 0.876
7 Co 0.290 0.948 0.551
8 Co 0.480 0.620 0.592

Main lines, in order of falling intensity (10 to 90 degrees two-theta):
2θ 38.66, I = 100, hkl 2 1 -1
2θ 38.29, I = 54, hkl 0 1 3
2θ 37.99, I = 48, hkl 2 -1 1
2θ 40.33, I = 48, hkl 2 2 2
2θ 41.18, I = 36, hkl 0 2 -2
2θ 51.70, I = 17, hkl -2 2 2
2θ 33.69, I = 14, hkl -1 2 1
2θ 72.48, I = 11, hkl 4 3 1
2θ 58.25, I = 11, hkl 2 0 4
2θ 59.77, I = 10, hkl 2 4 0